Structure and computed powder X-ray diffraction pattern of Tb7Pm2Tm3 (the GGA-PBE geometry in Alexandria; Cu Kα, 1.54184 Å).
No peak broadening, texture or thermal motion is included.

Most intense lines, 10° ≤ 2θ ≤ 80°, in order of rising 2θ:
| two_theta | I (rel.) | index |
| --- | --- | --- |
| 28.71 | 31 | 0 0 6 |
| 30.58 | 26 | 1 1 -2 |
| 31.11 | 62 | 2 0 -1 |
| 31.24 | 100 | 1 1 2 |
| 31.48 | 32 | 0 1 4 |
| 31.79 | 35 | 1 0 -6 |
| 32.30 | 29 | 1 1 -3 |
| 33.65 | 35 | 1 0 6 |
| 34.63 | 31 | 1 1 -4 |
| 60.92 | 21 | 2 2 -1 |

Crystal structure
a = 5.7680 Å, b = 3.5845 Å, c = 18.7002 Å
α = 90.00°, β = 93.80°, γ = 90.00°
Positions (direct):
Tb 0.0000 0.0000 0.0000
Tb 0.1785 0.5000 0.1771
Tb 0.2585 0.5000 0.5370
Tb 0.3243 0.0000 0.8579
Tb 0.6757 0.0000 0.1421
Tb 0.7415 0.5000 0.4630
Tb 0.8215 0.5000 0.8229
Pm 0.2960 0.5000 0.7047
Pm 0.7040 0.5000 0.2953
Tm 0.2188 0.0000 0.3698
Tm 0.5000 0.5000 0.0000
Tm 0.7812 0.0000 0.6302